Diffraction record for Pr3Sn2I2. The X-ray powder pattern is computed, not measured: it uses a GGA-PBE-relaxed structure and copper Kα.
Peak positions follow from Bragg's law for the DFT cell and can differ from measured ones.

Top 10 peaks for 10° ≤ 2θ ≤ 90°, in order of rising 2θ:
2θ (°)  Rel. int.
10.96  13
27.14  53
27.87  100
38.60  41
39.01  20
39.97  38
40.61  19
46.99  11
49.53  20
57.58  13

Structural model:
Cell lengths 4.443, 7.851, 8.223 Å; angles 79.38, 89.99, 73.58 degrees
Sites, in units of the cell vectors:
Pr  0.000  0.000  0.000
Pr  0.250  0.501  0.768
Pr  0.750  0.499  0.232
Sn  0.379  0.242  0.125
Sn  0.621  0.758  0.875
I  0.125  0.748  0.382
I  0.875  0.252  0.618

Diffraction record for TbPrI5. The X-ray powder pattern is computed, not measured: it uses a GGA-PBE-relaxed structure and copper Kα.
Peak positions follow from Bragg's law for the DFT cell and can differ from measured ones.

Top 10 peaks for 10° ≤ 2θ ≤ 90°, in order of rising 2θ:
2θ (°)  Rel. int.
10.74  100
26.22  40
27.38  28
28.26  36
28.59  56
29.83  19
30.09  44
31.89  18
38.51  20
42.17  28

Structural model:
Cell lengths 9.378, 4.286, 14.910 Å; angles 90.00, 95.05, 90.00 degrees
Sites, in units of the cell vectors:
Tb  0.087  0.250  0.157
Tb  0.913  0.750  0.843
Pr  0.394  0.750  0.350
Pr  0.606  0.250  0.650
I  0.128  0.250  0.793
I  0.143  0.250  0.370
I  0.176  0.750  0.019
I  0.362  0.750  0.572
I  0.427  0.250  0.190
I  0.573  0.750  0.810
I  0.638  0.250  0.428
I  0.824  0.250  0.981
I  0.857  0.750  0.630
I  0.872  0.750  0.207

Diffraction record for Tb2PrI8. The X-ray powder pattern is computed, not measured: it uses a GGA-PBE-relaxed structure and copper Kα.
Peak positions follow from Bragg's law for the DFT cell and can differ from measured ones.

Top 10 peaks for 10° ≤ 2θ ≤ 90°, in order of rising 2θ:
2θ (°)  Rel. int.
10.27  100
15.77  34
20.63  54
23.82  89
23.93  62
24.84  51
31.70  58
35.54  42
37.30  84
42.16  28

Structural model:
Cell lengths 9.657, 9.657, 7.439 Å; angles 90.52, 90.52, 63.09 degrees
Sites, in units of the cell vectors:
Tb  0.167  0.167  0.128
Tb  0.833  0.833  0.872
Pr  0.000  0.000  0.500
I  0.156  0.695  0.744
I  0.168  0.168  0.729
I  0.305  0.844  0.256
I  0.333  0.333  0.234
I  0.667  0.667  0.766
I  0.695  0.156  0.744
I  0.832  0.832  0.271
I  0.844  0.305  0.256

Diffraction record for Pr5Tc2I2. The X-ray powder pattern is computed, not measured: it uses a GGA-PBE-relaxed structure and copper Kα.
Peak positions follow from Bragg's law for the DFT cell and can differ from measured ones.

Top 10 peaks for 10° ≤ 2θ ≤ 90°, in order of rising 2θ:
2θ (°)  Rel. int.
29.15  23
29.54  20
29.99  100
31.67  33
32.04  43
35.51  33
35.89  49
40.32  15
55.11  23
59.12  32

Structural model:
Cell lengths 9.801, 9.801, 7.981 Å; angles 90.00, 90.00, 48.17 degrees
Sites, in units of the cell vectors:
Pr  0.000  0.000  0.000
Pr  0.066  0.712  0.677
Pr  0.212  0.566  0.177
Pr  0.288  0.934  0.677
Pr  0.434  0.788  0.177
Pr  0.500  0.500  0.500
Pr  0.566  0.212  0.823
Pr  0.712  0.066  0.323
Pr  0.788  0.434  0.823
Pr  0.934  0.288  0.323
Tc  0.110  0.890  0.393
Tc  0.390  0.610  0.893
Tc  0.610  0.390  0.107
Tc  0.890  0.110  0.607
I  0.223  0.223  0.000
I  0.277  0.277  0.500
I  0.723  0.723  0.500
I  0.777  0.777  0.000

Diffraction record for Pr3TcI3. The X-ray powder pattern is computed, not measured: it uses a GGA-PBE-relaxed structure and copper Kα.
Peak positions follow from Bragg's law for the DFT cell and can differ from measured ones.

Top 10 peaks for 10° ≤ 2θ ≤ 90°, in order of rising 2θ:
2θ (°)  Rel. int.
11.72  9
27.88  100
28.07  44
29.67  9
37.31  17
39.47  31
40.48  29
42.23  18
51.48  16
57.60  10

Structural model:
Cell lengths 9.647, 4.280, 12.722 Å; angles 90.00, 92.07, 90.00 degrees
Sites, in units of the cell vectors:
Pr  0.098  0.250  0.389
Pr  0.118  0.250  0.828
Pr  0.317  0.750  0.622
Pr  0.683  0.250  0.378
Pr  0.882  0.750  0.172
Pr  0.902  0.750  0.611
Tc  0.114  0.250  0.626
Tc  0.886  0.750  0.374
I  0.127  0.250  0.121
I  0.364  0.750  0.875
I  0.390  0.750  0.369
I  0.610  0.250  0.631
I  0.636  0.250  0.125
I  0.873  0.750  0.879

Diffraction record for Pr4TeI5. The X-ray powder pattern is computed, not measured: it uses a GGA-PBE-relaxed structure and copper Kα.
Peak positions follow from Bragg's law for the DFT cell and can differ from measured ones.

Top 10 peaks for 10° ≤ 2θ ≤ 90°, in order of rising 2θ:
2θ (°)  Rel. int.
27.92  100
39.02  12
39.54  25
40.29  24
40.69  13
48.05  6
49.33  6
50.10  13
57.64  7
66.40  6

Structural model:
Cell lengths 10.036, 10.036, 9.237 Å; angles 101.86, 101.86, 25.53 degrees
Sites, in units of the cell vectors:
Pr  0.001  0.001  0.275
Pr  0.343  0.343  0.434
Pr  0.657  0.657  0.566
Pr  0.999  0.999  0.725
Te  0.500  0.500  0.500
I  0.167  0.167  0.826
I  0.172  0.172  0.310
I  0.500  0.500  0.000
I  0.828  0.828  0.690
I  0.833  0.833  0.174

Diffraction record for Pr3TlI7. The X-ray powder pattern is computed, not measured: it uses a GGA-PBE-relaxed structure and copper Kα.
Peak positions follow from Bragg's law for the DFT cell and can differ from measured ones.

Top 10 peaks for 10° ≤ 2θ ≤ 90°, in order of rising 2θ:
2θ (°)  Rel. int.
11.82  11
23.69  12
26.31  12
26.54  100
33.61  41
41.79  32
43.12  13
50.19  17
54.66  10
67.31  14

Structural model:
Cell lengths 8.646, 8.646, 7.598 Å; angles 90.00, 90.00, 120.00 degrees
Sites, in units of the cell vectors:
Pr  0.015  0.507  0.000
Pr  0.493  0.507  0.000
Pr  0.493  0.985  0.000
Tl  0.333  0.667  0.387
I  0.165  0.331  0.737
I  0.165  0.835  0.737
I  0.326  0.163  0.244
I  0.667  0.333  0.740
I  0.669  0.835  0.737
I  0.837  0.163  0.244
I  0.837  0.674  0.244

Diffraction record for PrTlI4. The X-ray powder pattern is computed, not measured: it uses a GGA-PBE-relaxed structure and copper Kα.
Peak positions follow from Bragg's law for the DFT cell and can differ from measured ones.

Top 10 peaks for 10° ≤ 2θ ≤ 90°, in order of rising 2θ:
2θ (°)  Rel. int.
11.82  66
21.84  35
25.64  50
26.81  100
36.16  35
38.07  13
38.28  42
38.66  37
46.68  20
55.24  12

Structural model:
Cell lengths 7.967, 7.967, 8.779 Å; angles 100.04, 100.04, 34.29 degrees
Sites, in units of the cell vectors:
Pr  0.000  0.000  0.000
Tl  0.500  0.500  0.500
I  0.121  0.121  0.326
I  0.381  0.381  0.106
I  0.619  0.619  0.894
I  0.879  0.879  0.674

Diffraction record for PrTl3I6. The X-ray powder pattern is computed, not measured: it uses a GGA-PBE-relaxed structure and copper Kα.
Peak positions follow from Bragg's law for the DFT cell and can differ from measured ones.

Top 10 peaks for 10° ≤ 2θ ≤ 90°, in order of rising 2θ:
2θ (°)  Rel. int.
19.96  85
21.15  94
23.51  91
26.08  77
27.09  100
28.94  67
29.44  79
30.97  70
36.02  86
38.10  92

Structural model:
Cell lengths 8.313, 9.243, 14.166 Å; angles 90.00, 121.38, 90.00 degrees
Sites, in units of the cell vectors:
Pr  0.000  0.000  0.000
Pr  0.000  0.500  0.500
Tl  0.312  0.095  0.777
Tl  0.312  0.405  0.277
Tl  0.500  0.000  0.500
Tl  0.500  0.500  0.000
Tl  0.688  0.595  0.723
Tl  0.688  0.905  0.223
I  0.088  0.063  0.241
I  0.088  0.437  0.741
I  0.243  0.713  0.084
I  0.243  0.787  0.584
I  0.365  0.170  0.051
I  0.365  0.330  0.551
I  0.635  0.670  0.449
I  0.635  0.830  0.949
I  0.757  0.213  0.416
I  0.757  0.287  0.916
I  0.912  0.563  0.259
I  0.912  0.937  0.759

Diffraction record for Pr4TlI5. The X-ray powder pattern is computed, not measured: it uses a GGA-PBE-relaxed structure and copper Kα.
Peak positions follow from Bragg's law for the DFT cell and can differ from measured ones.

Top 10 peaks for 10° ≤ 2θ ≤ 90°, in order of rising 2θ:
2θ (°)  Rel. int.
27.72  100
38.81  13
39.06  26
40.14  24
40.39  12
47.43  7
49.69  13
57.25  12
64.02  12
65.53  11

Structural model:
Cell lengths 10.102, 10.102, 9.287 Å; angles 101.17, 101.17, 25.55 degrees
Sites, in units of the cell vectors:
Pr  0.002  0.002  0.232
Pr  0.341  0.341  0.930
Pr  0.659  0.659  0.070
Pr  0.998  0.998  0.768
Tl  0.500  0.500  0.000
I  0.169  0.169  0.327
I  0.170  0.170  0.817
I  0.500  0.500  0.500
I  0.830  0.830  0.183
I  0.831  0.831  0.673

Diffraction record for PrTmI. The X-ray powder pattern is computed, not measured: it uses a GGA-PBE-relaxed structure and copper Kα.
Peak positions follow from Bragg's law for the DFT cell and can differ from measured ones.

Top 10 peaks for 10° ≤ 2θ ≤ 90°, in order of rising 2θ:
2θ (°)  Rel. int.
27.52  11
29.05  66
31.94  13
32.13  100
33.32  32
43.89  12
46.93  25
48.51  12
57.25  12
59.38  34

Structural model:
Cell lengths 9.818, 9.818, 5.578 Å; angles 90.00, 90.00, 157.96 degrees
Sites, in units of the cell vectors:
Pr  0.129  0.871  0.750
Pr  0.871  0.129  0.250
Tm  0.468  0.532  0.750
Tm  0.532  0.468  0.250
I  0.308  0.692  0.750
I  0.692  0.308  0.250

Diffraction record for PrZn3I9. The X-ray powder pattern is computed, not measured: it uses a GGA-PBE-relaxed structure and copper Kα.
Peak positions follow from Bragg's law for the DFT cell and can differ from measured ones.

Top 10 peaks for 10° ≤ 2θ ≤ 90°, in order of rising 2θ:
2θ (°)  Rel. int.
14.91  76
16.36  35
23.42  100
24.38  44
25.38  37
25.49  56
25.99  33
28.46  31
34.93  31
36.17  30

Structural model:
Cell lengths 11.478, 11.478, 14.676 Å; angles 124.60, 124.60, 52.84 degrees
Sites, in units of the cell vectors:
Pr  0.231  0.769  0.500
Pr  0.769  0.231  0.000
Zn  0.033  0.260  0.832
Zn  0.260  0.033  0.332
Zn  0.282  0.432  0.666
Zn  0.432  0.282  0.166
Zn  0.647  0.811  0.207
Zn  0.811  0.647  0.707
I  0.075  0.236  0.221
I  0.093  0.943  0.329
I  0.165  0.439  0.034
I  0.236  0.075  0.721
I  0.304  0.670  0.697
I  0.403  0.408  0.376
I  0.408  0.403  0.876
I  0.439  0.165  0.534
I  0.455  0.774  0.224
I  0.489  0.985  0.074
I  0.540  0.771  0.553
I  0.670  0.304  0.197
I  0.771  0.540  0.053
I  0.774  0.455  0.724
I  0.863  0.867  0.916
I  0.867  0.863  0.416
I  0.943  0.093  0.829
I  0.985  0.489  0.574